(1)
Computed powder diffraction line list
Compound: EuDyGaAg
Radiation: Cu Ka
Structure: DFT lattice parameters and positions (PBE)
Neutral-atom scattering factors, no anomalous dispersion.

Cell lengths 7.374, 7.374, 7.374 Å; angles 90.00, 90.00, 90.00 degrees
Sites, in units of the cell vectors:
1 Eu 0.000 0.000 0.000
2 Eu 0.000 0.500 0.500
3 Eu 0.500 0.000 0.500
4 Eu 0.500 0.500 0.000
5 Dy 0.000 0.000 0.500
6 Dy 0.000 0.500 0.000
7 Dy 0.500 0.000 0.000
8 Dy 0.500 0.500 0.500
9 Ga 0.250 0.250 0.750
10 Ga 0.250 0.750 0.250
11 Ga 0.750 0.250 0.250
12 Ga 0.750 0.750 0.750
13 Ag 0.250 0.250 0.250
14 Ag 0.250 0.750 0.750
15 Ag 0.750 0.250 0.750
16 Ag 0.750 0.750 0.250

Principal peaks in the range 2θ from 5° to 70°, low angle first:
2θ 20.86, rel. 15; 2θ 24.14, rel. 77; 2θ 34.40, rel. 1000; 2θ 40.57, rel. 8; 2θ 42.46, rel. 24; 2θ 49.44, rel. 177; 2θ 55.75, rel. 35; 2θ 61.61, rel. 362

(2)
Computed powder diffraction line list
Compound: DyAg3F6
Radiation: Cu Ka
Structure: DFT lattice parameters and positions (PBE)
Neutral-atom scattering factors, no anomalous dispersion.

Cell lengths 6.954, 6.954, 3.871 Å; angles 90.00, 90.00, 113.90 degrees
Sites, in units of the cell vectors:
1 Dy 0.000 0.000 0.000
2 Ag 0.000 0.500 0.500
3 Ag 0.500 0.000 0.500
4 Ag 0.500 0.500 0.000
5 F 0.108 0.892 0.500
6 F 0.131 0.362 0.000
7 F 0.362 0.131 0.000
8 F 0.638 0.869 0.000
9 F 0.869 0.638 0.000
10 F 0.892 0.108 0.500

Principal peaks in the range 2θ from 5° to 70°, low angle first:
2θ 27.66, rel. 1000; 2θ 28.07, rel. 954; 2θ 30.68, rel. 224; 2θ 33.07, rel. 358; 2θ 45.73, rel. 727; 2θ 46.94, rel. 171; 2θ 47.98, rel. 159; 2θ 52.95, rel. 160; 2θ 55.59, rel. 270; 2θ 56.28, rel. 262

Which formula does entry 2 have? DyAg3F6